1.
For Dy8Ho3, a PBE-relaxed structure gives the theoretical X-ray powder pattern in this record (Cu Ka).
Neutral-atom scattering factors, no anomalous dispersion.

Atomic structure:
```
Dy8Ho3
1.0
6.1572 3.5549 2.8065
-6.1572 3.5549 2.8065
0.0000 -7.1097 2.8065
Dy Ho
8 3
direct
0.1905 0.6802 0.5309 Dy
0.2497 0.2497 0.2497 Dy
0.3198 0.4691 0.8095 Dy
0.4691 0.8095 0.3198 Dy
0.5309 0.1905 0.6802 Dy
0.6802 0.5309 0.1905 Dy
0.7503 0.7503 0.7503 Dy
0.8095 0.3198 0.4691 Dy
0.0000 0.0000 0.5000 Ho
0.0000 0.5000 0.0000 Ho
0.5000 0.0000 0.0000 Ho
```

Top 8 peaks for 5° ≤ 2θ ≤ 70°, in order of rising 2θ:
| 2θ/deg | d [Å] | intensity |
| --- | --- | --- |
| 24.48 | 3.636 | 29.9 |
| 29.00 | 3.079 | 58.5 |
| 30.71 | 2.911 | 100.0 |
| 31.89 | 2.807 | 30.9 |
| 32.07 | 2.791 | 34.5 |
| 35.31 | 2.542 | 34.0 |
| 37.15 | 2.420 | 28.4 |
| 63.93 | 1.456 | 36.9 |

2.
For Nb4Tl2O7, a PBE-relaxed structure gives the theoretical X-ray powder pattern in this record (Cu Ka).
Neutral-atom scattering factors, no anomalous dispersion.

Atomic structure:
```
Nb4Tl2O7
1.0
5.2688 0.0000 0.0000
-2.6344 4.5629 0.0000
0.0000 0.0000 8.2889
Nb Tl O
4 2 7
direct
0.0000 0.0000 0.2395 Nb
0.0000 0.0000 0.7605 Nb
0.3333 0.6667 0.5000 Nb
0.6667 0.3333 0.5000 Nb
0.3333 0.6667 0.0000 Tl
0.6667 0.3333 0.0000 Tl
0.0000 0.0000 0.0000 O
0.0000 0.3287 0.3484 O
0.0000 0.6713 0.6516 O
0.3287 0.0000 0.3484 O
0.3287 0.3287 0.6516 O
0.6713 0.0000 0.6516 O
0.6713 0.6713 0.3484 O
```

Top 8 peaks for 5° ≤ 2θ ≤ 70°, in order of rising 2θ:
| 2θ/deg | d [Å] | intensity |
| --- | --- | --- |
| 21.44 | 4.144 | 23.2 |
| 29.11 | 3.068 | 100.0 |
| 34.03 | 2.634 | 84.3 |
| 40.58 | 2.223 | 36.0 |
| 45.38 | 1.999 | 29.5 |
| 56.50 | 1.629 | 47.4 |
| 57.92 | 1.592 | 28.7 |
| 60.91 | 1.521 | 21.3 |

3.
For NpOsC, a PBE-relaxed structure gives the theoretical X-ray powder pattern in this record (Cu Ka).
Neutral-atom scattering factors, no anomalous dispersion.

Atomic structure:
```
NpOsC
1.0
3.7964 0.0000 0.0000
0.0000 9.1925 0.0000
0.0000 0.0000 5.2624
Np Os C
4 4 4
direct
0.1414 0.0658 0.2500 Np
0.1414 0.4342 0.7500 Np
0.8586 0.5658 0.2500 Np
0.8586 0.9342 0.7500 Np
0.3753 0.7500 0.0000 Os
0.3753 0.7500 0.5000 Os
0.6247 0.2500 0.0000 Os
0.6247 0.2500 0.5000 Os
0.3739 0.1140 0.7500 C
0.3739 0.3860 0.2500 C
0.6261 0.6140 0.7500 C
0.6261 0.8860 0.2500 C
```

Top 8 peaks for 5° ≤ 2θ ≤ 70°, in order of rising 2θ:
| 2θ/deg | d [Å] | intensity |
| --- | --- | --- |
| 25.73 | 3.462 | 37.3 |
| 30.58 | 2.923 | 100.0 |
| 37.73 | 2.384 | 52.9 |
| 39.46 | 2.284 | 58.8 |
| 41.77 | 2.163 | 31.2 |
| 42.96 | 2.105 | 54.4 |
| 52.18 | 1.753 | 20.9 |
| 68.17 | 1.376 | 31.8 |

4.
For BaTl2CdHg, a PBE-relaxed structure gives the theoretical X-ray powder pattern in this record (Cu Ka).
Neutral-atom scattering factors, no anomalous dispersion.

Atomic structure:
```
BaTl2CdHg
1.0
-2.4660 2.5497 6.3570
2.4660 -2.5497 6.3570
2.4660 2.5497 -6.3570
Ba Tl Cd Hg
1 2 1 1
direct
0.0000 0.0000 0.0000 Ba
0.6175 0.6175 0.0000 Tl
0.7615 0.2615 0.5000 Tl
0.2519 0.7519 0.5000 Cd
0.3871 0.3871 0.0000 Hg
```

Top 8 peaks for 5° ≤ 2θ ≤ 70°, in order of rising 2θ:
| 2θ/deg | d [Å] | intensity |
| --- | --- | --- |
| 27.36 | 3.259 | 25.5 |
| 27.75 | 3.214 | 36.3 |
| 28.83 | 3.096 | 100.0 |
| 35.20 | 2.550 | 43.4 |
| 36.43 | 2.466 | 39.5 |
| 38.02 | 2.367 | 65.5 |
| 39.60 | 2.276 | 26.8 |
| 51.56 | 1.773 | 29.5 |

5.
For Nd5MgAl4, a PBE-relaxed structure gives the theoretical X-ray powder pattern in this record (Cu Ka).
Neutral-atom scattering factors, no anomalous dispersion.

Atomic structure:
```
Nd5MgAl4
1.0
3.7348 0.0000 0.0000
0.0000 3.7348 0.0000
0.0000 0.0000 19.0987
Nd Mg Al
5 1 4
direct
0.0000 0.0000 0.0000 Nd
0.0000 0.0000 0.1946 Nd
0.0000 0.0000 0.3898 Nd
0.0000 0.0000 0.6102 Nd
0.0000 0.0000 0.8054 Nd
0.5000 0.5000 0.5000 Mg
0.5000 0.5000 0.0973 Al
0.5000 0.5000 0.2948 Al
0.5000 0.5000 0.7052 Al
0.5000 0.5000 0.9027 Al
```

Top 8 peaks for 5° ≤ 2θ ≤ 70°, in order of rising 2θ:
| 2θ/deg | d [Å] | intensity |
| --- | --- | --- |
| 23.29 | 3.820 | 29.1 |
| 23.82 | 3.735 | 58.5 |
| 33.56 | 2.670 | 100.0 |
| 33.94 | 2.641 | 50.8 |
| 41.57 | 2.172 | 25.9 |
| 48.76 | 1.867 | 18.2 |
| 59.75 | 1.548 | 16.4 |
| 60.50 | 1.530 | 36.3 |

6.
For Nd3AlTl4Te8, a PBE-relaxed structure gives the theoretical X-ray powder pattern in this record (Cu Ka).
Neutral-atom scattering factors, no anomalous dispersion.

Atomic structure:
```
Nd3AlTl4Te8
1.0
4.4985 2.5972 8.1314
-4.4985 2.5972 8.1314
0.0000 -5.1944 8.1314
Nd Al Tl Te
3 1 4 8
direct
0.0000 0.5000 0.5000 Nd
0.5000 0.0000 0.5000 Nd
0.5000 0.5000 0.0000 Nd
0.0000 0.0000 0.0000 Al
0.0000 0.0000 0.5000 Tl
0.0000 0.5000 0.0000 Tl
0.5000 0.0000 0.0000 Tl
0.5000 0.5000 0.5000 Tl
0.2225 0.2225 0.7621 Te
0.2225 0.7621 0.2225 Te
0.2379 0.7775 0.7775 Te
0.2587 0.2587 0.2587 Te
0.7413 0.7413 0.7413 Te
0.7621 0.2225 0.2225 Te
0.7775 0.2379 0.7775 Te
0.7775 0.7775 0.2379 Te
```

Top 8 peaks for 5° ≤ 2θ ≤ 70°, in order of rising 2θ:
| 2θ/deg | d [Å] | intensity |
| --- | --- | --- |
| 27.16 | 3.283 | 100.0 |
| 29.34 | 3.044 | 8.9 |
| 37.45 | 2.401 | 37.1 |
| 40.09 | 2.249 | 35.9 |
| 49.10 | 1.856 | 18.8 |
| 56.02 | 1.642 | 11.2 |
| 61.48 | 1.508 | 13.7 |
| 65.18 | 1.431 | 15.4 |

7.
For Ac5NiPt, a PBE-relaxed structure gives the theoretical X-ray powder pattern in this record (Cu Ka).
Neutral-atom scattering factors, no anomalous dispersion.

Atomic structure:
```
Ac5NiPt
1.0
5.5288 -4.6071 0.0000
5.5288 4.6071 0.0000
-3.9509 0.0000 10.4884
Ac Ni Pt
10 2 2
direct
0.0726 0.7491 0.3659 Ac
0.2487 0.7513 0.7500 Ac
0.2509 0.9274 0.1341 Ac
0.2684 0.3652 0.9814 Ac
0.3652 0.2684 0.4814 Ac
0.6348 0.7316 0.5186 Ac
0.7316 0.6348 0.0186 Ac
0.7491 0.0726 0.8659 Ac
0.7513 0.2487 0.2500 Ac
0.9274 0.2509 0.6341 Ac
0.0000 0.5000 0.5000 Ni
0.5000 0.0000 0.0000 Ni
0.4259 0.5741 0.2500 Pt
0.5741 0.4259 0.7500 Pt
```

Top 8 peaks for 5° ≤ 2θ ≤ 70°, in order of rising 2θ:
| 2θ/deg | d [Å] | intensity |
| --- | --- | --- |
| 25.28 | 3.523 | 36.8 |
| 25.74 | 3.462 | 67.9 |
| 27.23 | 3.275 | 92.9 |
| 28.18 | 3.167 | 100.0 |
| 30.36 | 2.944 | 28.4 |
| 30.70 | 2.912 | 63.0 |
| 33.60 | 2.667 | 41.2 |
| 42.05 | 2.149 | 33.9 |

8.
For Rb2NaHg6Pt, a PBE-relaxed structure gives the theoretical X-ray powder pattern in this record (Cu Ka).
Neutral-atom scattering factors, no anomalous dispersion.

Atomic structure:
```
Rb2NaHg6Pt
1.0
7.4966 0.0000 0.0000
-3.7483 6.4923 0.0000
0.0000 0.0000 6.4772
Rb Na Hg Pt
2 1 6 1
direct
0.3333 0.6667 0.1897 Rb
0.6667 0.3333 0.8103 Rb
0.0000 0.0000 0.0000 Na
0.1928 0.3855 0.6952 Hg
0.1928 0.8072 0.6952 Hg
0.3855 0.1928 0.3048 Hg
0.6145 0.8072 0.6952 Hg
0.8072 0.1928 0.3048 Hg
0.8072 0.6145 0.3048 Hg
0.0000 0.0000 0.5000 Pt
```

Top 8 peaks for 5° ≤ 2θ ≤ 70°, in order of rising 2θ:
| 2θ/deg | d [Å] | intensity |
| --- | --- | --- |
| 13.67 | 6.479 | 25.1 |
| 19.36 | 4.585 | 32.5 |
| 27.51 | 3.242 | 21.4 |
| 30.82 | 2.901 | 100.0 |
| 36.63 | 2.453 | 30.7 |
| 39.29 | 2.293 | 43.4 |
| 48.61 | 1.873 | 24.7 |
| 50.76 | 1.799 | 23.5 |